(1)
# Ti8Sb3
Theoretical powder XRD pattern, Cu Kα X-rays. Input: a DFT-relaxed cell (PBE, Alexandria).
No peak broadening, texture or thermal motion is included.

Top 10 peaks for 10° ≤ 2θ ≤ 90°, by intensity:
2θ 32.30, I = 100; 2θ 49.13, I = 86; 2θ 29.10, I = 83; 2θ 24.93, I = 64; 2θ 35.69, I = 53; 2θ 36.58, I = 46; 2θ 25.74, I = 35; 2θ 50.04, I = 33; 2θ 41.09, I = 30; 2θ 48.66, I = 29

Cell and atoms:
Lattice parameters (Å, degrees): 6.1407 6.1407 6.1407 91.35 91.35 91.35
Sites, in units of the cell vectors:
Ti 0.1327 0.1327 0.1327
Ti 0.1966 0.5929 0.3985
Ti 0.3985 0.1966 0.5929
Ti 0.4071 0.6015 0.8034
Ti 0.5929 0.3985 0.1966
Ti 0.6015 0.8034 0.4071
Ti 0.8034 0.4071 0.6015
Ti 0.8673 0.8673 0.8673
Sb 0.0000 0.0000 0.5000
Sb 0.0000 0.5000 0.0000
Sb 0.5000 0.0000 0.0000

(2)
# RbSrPaO4
Theoretical powder XRD pattern, Cu Kα X-rays. Input: a DFT-relaxed cell (PBE, Alexandria).
No peak broadening, texture or thermal motion is included.

Top 10 peaks for 10° ≤ 2θ ≤ 90°, by intensity:
2θ 28.51, I = 100; 2θ 28.37, I = 64; 2θ 50.31, I = 43; 2θ 13.39, I = 42; 2θ 40.55, I = 33; 2θ 21.07, I = 32; 2θ 50.57, I = 22; 2θ 66.48, I = 21; 2θ 39.65, I = 19; 2θ 59.00, I = 17

Cell and atoms:
Lattice parameters (Å, degrees): 4.4492 4.4492 13.2213 90.00 90.00 90.00
Sites, in units of the cell vectors:
Rb 0.0000 0.0000 0.0000
Rb 0.5000 0.5000 0.5000
Sr 0.0000 0.0000 0.7024
Sr 0.5000 0.5000 0.2024
Pa 0.0000 0.0000 0.3533
Pa 0.5000 0.5000 0.8533
O 0.0000 0.0000 0.1966
O 0.0000 0.0000 0.5137
O 0.0000 0.5000 0.3355
O 0.0000 0.5000 0.8355
O 0.5000 0.0000 0.3355
O 0.5000 0.0000 0.8355
O 0.5000 0.5000 0.0137
O 0.5000 0.5000 0.6966

(3)
# CoSnB2
Theoretical powder XRD pattern, Cu Kα X-rays. Input: a DFT-relaxed cell (PBE, Alexandria).
No peak broadening, texture or thermal motion is included.

Top 10 peaks for 10° ≤ 2θ ≤ 90°, by intensity:
2θ 36.79, I = 100; 2θ 24.74, I = 56; 2θ 51.89, I = 37; 2θ 56.24, I = 29; 2θ 49.64, I = 21; 2θ 84.51, I = 21; 2θ 73.72, I = 13; 2θ 78.27, I = 13; 2θ 75.52, I = 12; 2θ 30.66, I = 12

Cell and atoms:
Lattice parameters (Å, degrees): 3.6727 3.6727 14.3938 90.00 90.00 90.00
Sites, in units of the cell vectors:
Co 0.0000 0.2500 0.3750
Co 0.0000 0.7500 0.6250
Co 0.5000 0.2500 0.1250
Co 0.5000 0.7500 0.8750
Sn 0.0000 0.2500 0.8750
Sn 0.0000 0.7500 0.1250
Sn 0.5000 0.2500 0.6250
Sn 0.5000 0.7500 0.3750
B 0.0000 0.0000 0.5000
B 0.0000 0.5000 0.5000
B 0.2500 0.2500 0.2500
B 0.2500 0.7500 0.7500
B 0.5000 0.0000 0.0000
B 0.5000 0.5000 0.0000
B 0.7500 0.2500 0.2500
B 0.7500 0.7500 0.7500

(4)
# CdBiH2
Theoretical powder XRD pattern, Cu Kα X-rays. Input: a DFT-relaxed cell (PBE, Alexandria).
No peak broadening, texture or thermal motion is included.

Top 10 peaks for 10° ≤ 2θ ≤ 90°, by intensity:
2θ 13.76, I = 100; 2θ 27.73, I = 21; 2θ 31.52, I = 15; 2θ 31.85, I = 14; 2θ 37.06, I = 9; 2θ 37.91, I = 9; 2θ 30.79, I = 8; 2θ 30.18, I = 8; 2θ 30.59, I = 8; 2θ 47.84, I = 8

Cell and atoms:
Lattice parameters (Å, degrees): 3.0963 5.9935 6.6906 76.28 78.78 75.04
Sites, in units of the cell vectors:
Cd 0.0000 0.0000 0.0000
Bi 0.2642 0.4797 0.9987
H 0.9631 0.0495 0.4649
H 0.9806 0.9344 0.5425